Record 1
Theoretical PXRD pattern of VNiOs for Cu Ka, from DFT lattice parameters and positions (PBE).
Neutral-atom scattering factors, no anomalous dispersion.

Cell and atoms:
a b c (Å): 4.118 4.118 5.203
angles (deg): 90.00 90.00 120.00
Positions (direct):
V  0.333  0.667  0.250
V  0.667  0.333  0.750
Ni  0.333  0.667  0.750
Ni  0.667  0.333  0.250
Os  0.000  0.000  0.000
Os  0.000  0.000  0.500

Largest 10 diffraction maxima, by angle, 10 to 90 degrees two-theta:
24.97 deg, rel. 57.0
43.04 deg, rel. 100.0
43.97 deg, rel. 71.4
51.23 deg, rel. 8.8
63.22 deg, rel. 31.6
69.77 deg, rel. 7.4
78.23 deg, rel. 5.5
80.20 deg, rel. 32.0
80.85 deg, rel. 11.6
89.03 deg, rel. 18.7

***

Record 2
Theoretical PXRD pattern of YNiOs2 for Cu Ka, from DFT lattice parameters and positions (PBE).
Neutral-atom scattering factors, no anomalous dispersion.

Cell and atoms:
a b c (Å): 6.989 6.989 6.989
angles (deg): 144.55 137.24 56.72
Positions (direct):
Y  0.400  0.150  0.250
Y  0.600  0.850  0.750
Ni  0.181  0.931  0.250
Ni  0.819  0.069  0.750
Os  0.000  0.500  0.500
Os  0.054  0.304  0.750
Os  0.500  0.500  0.000
Os  0.946  0.696  0.250

Largest 10 diffraction maxima, by angle, 10 to 90 degrees two-theta:
18.85 deg, rel. 42.2
22.10 deg, rel. 30.9
31.00 deg, rel. 35.6
38.23 deg, rel. 44.1
40.28 deg, rel. 67.3
41.97 deg, rel. 37.7
42.45 deg, rel. 100.0
47.11 deg, rel. 37.2
58.46 deg, rel. 26.2
89.69 deg, rel. 24.7

***

Record 3
Theoretical PXRD pattern of Y3NiOs for Cu Ka, from DFT lattice parameters and positions (PBE).
Neutral-atom scattering factors, no anomalous dispersion.

Cell and atoms:
a b c (Å): 5.316 5.316 5.316
angles (deg): 90.00 90.00 90.00
Positions (direct):
Y  0.000  0.000  0.500
Y  0.000  0.500  0.000
Y  0.500  0.000  0.000
Ni  0.500  0.500  0.500
Os  0.000  0.000  0.000

Largest 10 diffraction maxima, by angle, 10 to 90 degrees two-theta:
16.68 deg, rel. 91.0
23.67 deg, rel. 45.6
29.09 deg, rel. 17.1
33.72 deg, rel. 100.0
37.84 deg, rel. 47.6
41.61 deg, rel. 21.3
48.43 deg, rel. 71.1
51.58 deg, rel. 24.9
60.31 deg, rel. 24.2
80.86 deg, rel. 30.8

***

Record 4
Theoretical PXRD pattern of ZnNi6Os for Cu Ka, from DFT lattice parameters and positions (PBE).
Neutral-atom scattering factors, no anomalous dispersion.

Cell and atoms:
a b c (Å): 6.224 6.224 10.162
angles (deg): 90.00 90.00 109.40
Positions (direct):
Zn  0.000  0.000  0.248
Zn  0.000  0.000  0.752
Zn  0.249  0.751  0.000
Zn  0.751  0.249  0.000
Ni  0.000  0.000  0.000
Ni  0.000  0.000  0.500
Ni  0.127  0.378  0.375
Ni  0.127  0.378  0.625
Ni  0.128  0.376  0.126
Ni  0.128  0.376  0.874
Ni  0.252  0.748  0.253
Ni  0.252  0.748  0.747
Ni  0.376  0.128  0.126
Ni  0.376  0.128  0.874
Ni  0.378  0.127  0.375
Ni  0.378  0.127  0.625
Ni  0.500  0.500  0.000
Ni  0.500  0.500  0.500
Ni  0.622  0.873  0.375
Ni  0.622  0.873  0.625
Ni  0.624  0.872  0.126
Ni  0.624  0.872  0.874
Ni  0.748  0.252  0.253
Ni  0.748  0.252  0.747
Ni  0.872  0.624  0.126
Ni  0.872  0.624  0.874
Ni  0.873  0.622  0.375
Ni  0.873  0.622  0.625
Os  0.248  0.752  0.500
Os  0.500  0.500  0.244
Os  0.500  0.500  0.756
Os  0.752  0.248  0.500

Largest 10 diffraction maxima, by angle, 10 to 90 degrees two-theta:
15.09 deg, rel. 5.7
19.54 deg, rel. 3.8
23.15 deg, rel. 4.4
24.77 deg, rel. 12.6
35.32 deg, rel. 10.4
43.62 deg, rel. 100.0
50.81 deg, rel. 47.1
57.33 deg, rel. 5.6
63.40 deg, rel. 4.2
74.71 deg, rel. 28.0

***

Record 5
Theoretical PXRD pattern of Zr4Ni2Os for Cu Ka, from DFT lattice parameters and positions (PBE).
Neutral-atom scattering factors, no anomalous dispersion.

Cell and atoms:
a b c (Å): 7.320 7.320 4.682
angles (deg): 90.00 90.00 144.62
Positions (direct):
Zr  0.108  0.892  0.000
Zr  0.378  0.622  0.500
Zr  0.622  0.378  0.500
Zr  0.892  0.108  0.000
Ni  0.294  0.706  0.000
Ni  0.706  0.294  0.000
Os  0.000  0.000  0.500

Largest 10 diffraction maxima, by angle, 10 to 90 degrees two-theta:
20.96 deg, rel. 20.3
22.88 deg, rel. 45.8
27.76 deg, rel. 41.3
33.83 deg, rel. 42.5
38.45 deg, rel. 39.8
40.57 deg, rel. 36.3
42.87 deg, rel. 100.0
48.08 deg, rel. 18.2
57.12 deg, rel. 24.5
72.59 deg, rel. 20.1

***

Record 6
Theoretical PXRD pattern of Zr8Ni2Os for Cu Ka, from DFT lattice parameters and positions (PBE).
Neutral-atom scattering factors, no anomalous dispersion.

Cell and atoms:
a b c (Å): 11.181 11.181 11.181
angles (deg): 156.29 156.29 33.79
Positions (direct):
Zr  0.075  0.575  0.500
Zr  0.173  0.173  0.000
Zr  0.324  0.324  0.000
Zr  0.425  0.925  0.500
Zr  0.575  0.075  0.500
Zr  0.676  0.676  0.000
Zr  0.827  0.827  0.000
Zr  0.925  0.425  0.500
Ni  0.250  0.750  0.500
Ni  0.750  0.250  0.500
Os  0.000  0.000  0.000

Largest 10 diffraction maxima, by angle, 10 to 90 degrees two-theta:
19.76 deg, rel. 17.1
23.02 deg, rel. 11.2
28.50 deg, rel. 5.7
37.44 deg, rel. 100.0
39.21 deg, rel. 47.0
51.23 deg, rel. 8.0
56.66 deg, rel. 15.6
66.36 deg, rel. 14.3
69.91 deg, rel. 30.4
79.86 deg, rel. 10.4

***

Record 7
Theoretical PXRD pattern of NiP4 for Cu Ka, from DFT lattice parameters and positions (PBE).
Neutral-atom scattering factors, no anomalous dispersion.

Cell and atoms:
a b c (Å): 4.818 14.054 7.019
angles (deg): 90.00 101.68 90.00
Positions (direct):
Ni  0.000  0.000  0.000
Ni  0.000  0.500  0.500
Ni  0.144  0.171  0.379
Ni  0.144  0.329  0.879
Ni  0.856  0.671  0.121
Ni  0.856  0.829  0.621
P  0.075  0.728  0.876
P  0.075  0.772  0.376
P  0.210  0.552  0.253
P  0.210  0.948  0.753
P  0.254  0.616  0.707
P  0.254  0.884  0.207
P  0.358  0.107  0.137
P  0.358  0.393  0.637
P  0.378  0.054  0.573
P  0.378  0.446  0.073
P  0.495  0.717  0.546
P  0.495  0.783  0.046
P  0.505  0.217  0.954
P  0.505  0.283  0.454
P  0.622  0.554  0.927
P  0.622  0.946  0.427
P  0.642  0.607  0.363
P  0.642  0.893  0.863
P  0.746  0.116  0.793
P  0.746  0.384  0.293
P  0.790  0.052  0.247
P  0.790  0.448  0.747
P  0.925  0.228  0.624
P  0.925  0.272  0.124

Largest 10 diffraction maxima, by angle, 10 to 90 degrees two-theta:
18.05 deg, rel. 8.7
22.97 deg, rel. 8.8
24.19 deg, rel. 12.4
31.54 deg, rel. 100.0
34.77 deg, rel. 24.8
41.50 deg, rel. 9.3
50.15 deg, rel. 13.7
51.21 deg, rel. 16.8
51.45 deg, rel. 9.1
54.98 deg, rel. 9.4

***

Record 8
Theoretical PXRD pattern of NiP for Cu Ka, from DFT lattice parameters and positions (PBE).
Neutral-atom scattering factors, no anomalous dispersion.

Cell and atoms:
a b c (Å): 3.950 3.950 3.950
angles (deg): 138.57 138.57 60.03
Positions (direct):
Ni  0.000  0.000  0.000
P  0.333  0.333  0.000

Largest 10 diffraction maxima, by angle, 10 to 90 degrees two-theta:
26.05 deg, rel. 53.0
34.67 deg, rel. 100.0
45.93 deg, rel. 61.8
51.74 deg, rel. 84.9
53.56 deg, rel. 33.5
66.97 deg, rel. 18.6
73.18 deg, rel. 19.5
77.68 deg, rel. 24.4
85.08 deg, rel. 4.8
89.40 deg, rel. 34.2

***

Record 9
Theoretical PXRD pattern of Ni7P6 for Cu Ka, from DFT lattice parameters and positions (PBE).
Neutral-atom scattering factors, no anomalous dispersion.

Cell and atoms:
a b c (Å): 8.420 8.420 8.420
angles (deg): 33.91 33.91 33.91
Positions (direct):
Ni  0.000  0.000  0.000
Ni  0.074  0.074  0.574
Ni  0.074  0.574  0.074
Ni  0.426  0.926  0.926
Ni  0.574  0.074  0.074
Ni  0.926  0.426  0.926
Ni  0.926  0.926  0.426
P  0.167  0.167  0.167
P  0.316  0.316  0.316
P  0.410  0.410  0.410
P  0.590  0.590  0.590
P  0.684  0.684  0.684
P  0.833  0.833  0.833

Largest 10 diffraction maxima, by angle, 10 to 90 degrees two-theta:
21.22 deg, rel. 67.9
22.43 deg, rel. 67.7
42.69 deg, rel. 64.0
43.22 deg, rel. 36.9
43.35 deg, rel. 63.4
45.78 deg, rel. 37.6
46.79 deg, rel. 59.5
50.64 deg, rel. 100.0
52.94 deg, rel. 39.8
77.79 deg, rel. 36.6

***

Record 10
Theoretical PXRD pattern of NiP2 for Cu Ka, from DFT lattice parameters and positions (PBE).
Neutral-atom scattering factors, no anomalous dispersion.

Cell and atoms:
a b c (Å): 5.463 5.463 5.463
angles (deg): 90.00 90.00 90.00
Positions (direct):
Ni  0.000  0.000  0.000
Ni  0.000  0.500  0.500
Ni  0.500  0.000  0.500
Ni  0.500  0.500  0.000
P  0.116  0.616  0.884
P  0.116  0.884  0.384
P  0.384  0.116  0.884
P  0.384  0.384  0.384
P  0.616  0.616  0.616
P  0.616  0.884  0.116
P  0.884  0.116  0.616
P  0.884  0.384  0.116

Largest 10 diffraction maxima, by angle, 10 to 90 degrees two-theta:
28.30 deg, rel. 52.5
32.79 deg, rel. 90.9
36.79 deg, rel. 40.5
40.45 deg, rel. 33.8
47.05 deg, rel. 52.8
55.82 deg, rel. 100.0
58.53 deg, rel. 17.1
63.75 deg, rel. 17.3
78.27 deg, rel. 16.1
87.48 deg, rel. 14.8

***

Record 11
Theoretical PXRD pattern of NiP8 for Cu Ka, from DFT lattice parameters and positions (PBE).
Neutral-atom scattering factors, no anomalous dispersion.

Cell and atoms:
a b c (Å): 7.754 7.754 7.754
angles (deg): 93.17 93.17 152.82
Positions (direct):
Ni  0.000  0.000  0.000
P  0.000  0.394  0.394
P  0.000  0.606  0.606
P  0.394  0.000  0.394
P  0.396  0.396  0.791
P  0.396  0.604  0.000
P  0.604  0.396  0.000
P  0.604  0.604  0.209
P  0.606  0.000  0.606

Largest 10 diffraction maxima, by angle, 10 to 90 degrees two-theta:
11.74 deg, rel. 12.4
16.63 deg, rel. 100.0
23.61 deg, rel. 14.3
35.28 deg, rel. 35.8
35.74 deg, rel. 7.8
39.24 deg, rel. 18.2
49.54 deg, rel. 30.1
49.89 deg, rel. 12.2
52.62 deg, rel. 15.5
53.12 deg, rel. 7.6

***

Record 12
Theoretical PXRD pattern of Ni23P6 for Cu Ka, from DFT lattice parameters and positions (PBE).
Neutral-atom scattering factors, no anomalous dispersion.

Cell and atoms:
a b c (Å): 7.763 7.763 7.763
angles (deg): 60.00 60.00 60.00
Positions (direct):
Ni  0.000  0.000  0.000
Ni  0.000  0.000  0.346
Ni  0.000  0.000  0.654
Ni  0.000  0.346  0.000
Ni  0.000  0.346  0.654
Ni  0.000  0.654  0.000
Ni  0.000  0.654  0.346
Ni  0.138  0.621  0.621
Ni  0.250  0.250  0.250
Ni  0.346  0.000  0.000
Ni  0.346  0.000  0.654
Ni  0.346  0.654  0.000
Ni  0.379  0.379  0.379
Ni  0.379  0.379  0.862
Ni  0.379  0.862  0.379
Ni  0.621  0.138  0.621
Ni  0.621  0.621  0.138
Ni  0.621  0.621  0.621
Ni  0.654  0.000  0.000
Ni  0.654  0.000  0.346
Ni  0.654  0.346  0.000
Ni  0.750  0.750  0.750
Ni  0.862  0.379  0.379
P  0.267  0.267  0.733
P  0.267  0.733  0.267
P  0.267  0.733  0.733
P  0.733  0.267  0.267
P  0.733  0.267  0.733
P  0.733  0.733  0.267

Largest 10 diffraction maxima, by angle, 10 to 90 degrees two-theta:
36.60 deg, rel. 14.2
40.24 deg, rel. 21.8
42.80 deg, rel. 100.0
46.81 deg, rel. 35.5
49.09 deg, rel. 29.9
49.84 deg, rel. 15.5
55.52 deg, rel. 14.7
73.14 deg, rel. 19.3
74.91 deg, rel. 12.2
86.94 deg, rel. 20.9

***

Repeat the second record exactly.
Theoretical PXRD pattern of YNiOs2 for Cu Ka, from DFT lattice parameters and positions (PBE).
Neutral-atom scattering factors, no anomalous dispersion.

Cell and atoms:
a b c (Å): 6.989 6.989 6.989
angles (deg): 144.55 137.24 56.72
Positions (direct):
Y  0.400  0.150  0.250
Y  0.600  0.850  0.750
Ni  0.181  0.931  0.250
Ni  0.819  0.069  0.750
Os  0.000  0.500  0.500
Os  0.054  0.304  0.750
Os  0.500  0.500  0.000
Os  0.946  0.696  0.250

Largest 10 diffraction maxima, by angle, 10 to 90 degrees two-theta:
18.85 deg, rel. 42.2
22.10 deg, rel. 30.9
31.00 deg, rel. 35.6
38.23 deg, rel. 44.1
40.28 deg, rel. 67.3
41.97 deg, rel. 37.7
42.45 deg, rel. 100.0
47.11 deg, rel. 37.2
58.46 deg, rel. 26.2
89.69 deg, rel. 24.7